This entry pairs a crystal structure of Ca2Tb5Sm4 with its theoretical X-ray powder pattern. Radiation: Cu Ka. Structure: a crystal structure in Alexandria, relaxed with GGA-PBE.

Most intense lines, 2θ from 15° to 90°, most intense first:
index, two_theta, I/Imax
1 2 -2, 30.11, 100
1 -3 1, 34.98, 46
0 2 1, 30.21, 33
3 -4 0, 59.69, 24
3 -2 1, 50.17, 24
1 0 -3, 34.84, 22
-2 3 2, 50.25, 16
-3 1 4, 59.55, 14

Cell and atoms:
Cell lengths 6.301, 8.101, 8.142 Å; angles 107.48, 105.10, 97.47 degrees
Positions (direct):
Ca  0.134  0.230  0.045
Ca  0.866  0.770  0.955
Tb  0.324  0.861  0.765
Tb  0.416  0.687  0.142
Tb  0.500  0.500  0.500
Tb  0.584  0.313  0.858
Tb  0.676  0.139  0.235
Sm  0.050  0.408  0.671
Sm  0.234  0.047  0.422
Sm  0.766  0.953  0.578
Sm  0.950  0.592  0.329